# Li3Mn3CoO8
Simulated X-ray powder pattern, λ = 1.5418 Å (Cu Kα). Input: a cell relaxed with GGA+U.
Neutral-atom scattering factors, no anomalous dispersion.

Top 10 peaks for 10 to 90 degrees two-theta, by intensity:
d [Å], I (rel.)
4.452, 100.0
4.756, 91.7
1.972, 78.4
2.509, 63.6
4.532, 63.1
2.435, 62.2
1.518, 54.7
1.477, 50.5
2.684, 45.9
2.226, 44.1

Cell and atoms:
```
30
Lattice="2.8871 -5.1553 0.0000 2.8871 5.1553 0.0000 0.0000 0.0000 9.5125" Properties=species:S:1:pos:R:3 pbc="T T T"
Li 1.5048 0.8460 4.7854
Li 2.8871 3.2707 4.7562
Li 1.5048 -0.8460 0.0291
Li 4.2695 0.8460 4.7854
Li 2.8871 -3.2707 0.0000
Li 4.2695 -0.8460 0.0291
Mn 1.4497 0.8807 7.3572
Mn 2.8871 3.4409 7.3723
Mn 1.4497 -0.8807 2.6010
Mn 4.3245 0.8807 7.3572
Mn 2.8871 -3.4409 2.6161
Mn 4.3245 -0.8807 2.6010
Co 2.8871 1.7070 0.5450
Co 2.8871 -1.7070 5.3012
O 2.8871 4.9591 3.6910
O 1.5705 2.4940 8.5003
O 2.8871 3.5369 1.4978
O 1.3744 0.7659 1.5566
O 1.3744 -0.7659 6.3128
O 2.8871 1.5690 6.2179
O 2.8871 0.1987 8.5003
O 4.2037 2.4940 8.5003
O 1.5705 -2.4940 3.7441
O 2.8871 -0.1987 3.7441
O 2.8871 -1.5690 1.4616
O 4.3999 0.7659 1.5566
O 4.3999 -0.7659 6.3128
O 2.8871 -3.5369 6.2541
O 4.2037 -2.4940 3.7441
O 2.8871 -4.9591 8.4472
```